Cs2RhAuF6: computed powder diffractogram (Cu Kα), based on a crystal structure in the Materials Project, relaxed with PBE.
Neutral-atom scattering factors, no anomalous dispersion.

```
10
Lattice="0.000 4.522 4.522 4.522 0.000 4.522 4.522 4.522 0.000" Properties=species:S:1:pos:R:3 pbc="T T T"
Cs 2.261 2.261 2.261
Cs 6.783 6.783 6.783
Rh 0.000 0.000 0.000
Au 4.522 4.522 4.522
F 4.522 4.522 2.049
F 4.522 2.049 4.522
F 6.996 4.522 4.522
F 2.049 4.522 4.522
F 4.522 6.996 4.522
F 4.522 4.522 6.996
```

The 10 most intense peaks (15° ≤ 2θ ≤ 90°), in order of rising 2θ:
- d = 5.222 Å, I = 4
- d = 3.198 Å, I = 100
- d = 2.727 Å, I = 4
- d = 2.261 Å, I = 31
- d = 2.075 Å, I = 3
- d = 1.846 Å, I = 41
- d = 1.599 Å, I = 20
- d = 1.430 Å, I = 19
- d = 1.305 Å, I = 7
- d = 1.209 Å, I = 22

Cs2SbAuF6: computed powder diffractogram (Cu Kα), based on a crystal structure in the Materials Project, relaxed with PBE.
Neutral-atom scattering factors, no anomalous dispersion.

```
10
Lattice="0.000 4.753 4.753 4.753 0.000 4.753 4.753 4.753 0.000" Properties=species:S:1:pos:R:3 pbc="T T T"
Cs 2.376 2.376 2.376
Cs 7.129 7.129 7.129
Sb 0.000 0.000 0.000
Au 4.753 4.753 4.753
F 4.753 4.753 2.196
F 4.753 2.196 4.753
F 7.310 4.753 4.753
F 2.196 4.753 4.753
F 4.753 7.310 4.753
F 4.753 4.753 7.310
```

The 10 most intense peaks (15° ≤ 2θ ≤ 90°), in order of rising 2θ:
- d = 4.753 Å, I = 4
- d = 3.361 Å, I = 100
- d = 2.376 Å, I = 32
- d = 1.940 Å, I = 43
- d = 1.680 Å, I = 21
- d = 1.503 Å, I = 20
- d = 1.372 Å, I = 7
- d = 1.270 Å, I = 23
- d = 1.188 Å, I = 3
- d = 1.120 Å, I = 12

Cs2ScAuF6: computed powder diffractogram (Cu Kα), based on a crystal structure in the Materials Project, relaxed with PBE.
Neutral-atom scattering factors, no anomalous dispersion.

```
10
Lattice="0.000 4.599 4.599 4.599 0.000 4.599 4.599 4.599 0.000" Properties=species:S:1:pos:R:3 pbc="T T T"
Cs 2.299 2.299 2.299
Cs 6.898 6.898 6.898
Sc 0.000 0.000 0.000
Au 4.599 4.599 4.599
F 4.599 4.599 2.044
F 4.599 2.044 4.599
F 7.154 4.599 4.599
F 2.044 4.599 4.599
F 4.599 7.154 4.599
F 4.599 4.599 7.154
```

The 10 most intense peaks (15° ≤ 2θ ≤ 90°), in order of rising 2θ:
- d = 5.310 Å, I = 15
- d = 3.252 Å, I = 100
- d = 2.773 Å, I = 15
- d = 2.299 Å, I = 33
- d = 2.110 Å, I = 10
- d = 1.877 Å, I = 41
- d = 1.626 Å, I = 21
- d = 1.454 Å, I = 20
- d = 1.328 Å, I = 7
- d = 1.229 Å, I = 22

Cs2TaAuF6: computed powder diffractogram (Cu Kα), based on a crystal structure in the Materials Project, relaxed with PBE.
Neutral-atom scattering factors, no anomalous dispersion.

```
10
Lattice="0.000 5.221 5.221 5.221 0.000 5.221 5.221 5.221 0.000" Properties=species:S:1:pos:R:3 pbc="T T T"
Cs 2.610 2.610 2.610
Cs 7.831 7.831 7.831
Ta 0.000 0.000 0.000
Au 5.221 5.221 5.221
F 5.221 5.221 1.925
F 5.221 1.925 5.221
F 8.517 5.221 5.221
F 1.925 5.221 5.221
F 5.221 8.517 5.221
F 5.221 5.221 8.517
```

The 10 most intense peaks (15° ≤ 2θ ≤ 90°), in order of rising 2θ:
- d = 5.221 Å, I = 8
- d = 3.692 Å, I = 100
- d = 2.610 Å, I = 27
- d = 2.131 Å, I = 40
- d = 1.846 Å, I = 17
- d = 1.651 Å, I = 24
- d = 1.395 Å, I = 25
- d = 1.231 Å, I = 12
- d = 1.167 Å, I = 7
- d = 1.113 Å, I = 7

CsGa2Au3: computed powder diffractogram (Cu Kα), based on a crystal structure in the Materials Project, relaxed with PBE.
Neutral-atom scattering factors, no anomalous dispersion.

```
24
Lattice="13.526 0.000 0.000 0.000 5.991 0.000 0.000 0.000 7.160" Properties=species:S:1:pos:R:3 pbc="T T T"
Cs 0.954 1.498 0.683
Cs 5.809 4.493 4.263
Cs 7.717 1.498 2.896
Cs 12.572 4.493 6.476
Ga 2.108 3.012 4.251
Ga 2.108 5.975 4.251
Ga 4.655 0.016 0.671
Ga 4.655 2.979 0.671
Ga 8.871 3.012 6.489
Ga 8.871 5.975 6.489
Ga 11.418 0.016 2.909
Ga 11.418 2.979 2.909
Au 0.054 4.493 3.020
Au 2.832 4.493 2.070
Au 2.928 4.493 6.272
Au 3.835 1.498 2.693
Au 3.931 1.498 5.649
Au 6.710 1.498 6.600
Au 6.817 4.493 0.560
Au 9.595 4.493 1.510
Au 9.692 4.493 4.467
Au 10.598 1.498 0.887
Au 10.694 1.498 5.090
Au 13.473 1.498 4.140
```

The 10 most intense peaks (15° ≤ 2θ ≤ 90°), in order of rising 2θ:
- d = 3.218 Å, I = 24
- d = 3.164 Å, I = 21
- d = 2.996 Å, I = 100
- d = 2.945 Å, I = 44
- d = 2.803 Å, I = 33
- d = 2.356 Å, I = 27
- d = 2.265 Å, I = 29
- d = 2.242 Å, I = 30
- d = 2.108 Å, I = 40
- d = 2.031 Å, I = 21

CsAuI4O12: computed powder diffractogram (Cu Kα), based on a crystal structure in the Materials Project, relaxed with PBE.
Neutral-atom scattering factors, no anomalous dispersion.

```
18
Lattice="7.083 -2.939 0.000 7.083 2.939 0.000 -2.833 0.000 8.215" Properties=species:S:1:pos:R:3 pbc="T T T"
Cs 0.000 0.000 0.000
Au 5.666 1.795 4.107
I 4.051 0.444 1.391
I 3.097 0.095 5.346
I 7.282 0.444 6.824
I 8.236 0.095 2.868
O 2.343 0.976 1.708
O 3.758 1.825 4.808
O 4.943 1.917 2.236
O 1.487 1.158 7.950
O 6.390 1.917 5.979
O 7.575 1.825 3.407
O 3.621 -0.842 3.878
O 9.845 1.158 0.264
O 4.382 -0.303 6.554
O 6.950 -0.303 1.660
O 8.990 0.976 6.507
O 7.711 -0.842 4.336
```

The 10 most intense peaks (15° ≤ 2θ ≤ 90°), in order of rising 2θ:
- d = 5.383 Å, I = 53
- d = 4.800 Å, I = 45
- d = 3.555 Å, I = 99
- d = 3.493 Å, I = 100
- d = 3.145 Å, I = 45
- d = 3.081 Å, I = 65
- d = 2.663 Å, I = 20
- d = 2.232 Å, I = 21
- d = 2.170 Å, I = 28
- d = 1.867 Å, I = 46

CsAuI4O12: computed powder diffractogram (Cu Kα), based on a crystal structure in the Materials Project, relaxed with PBE.
Neutral-atom scattering factors, no anomalous dispersion.

```
36
Lattice="7.982 0.000 0.000 0.773 8.079 0.000 3.596 2.490 10.333" Properties=species:S:1:pos:R:3 pbc="T T T"
Cs 1.105 1.797 1.492
Cs 11.246 8.772 8.841
Au 6.986 9.661 8.133
Au 5.366 0.908 2.200
I 4.883 4.663 7.757
I 4.212 7.570 4.847
I 3.966 3.375 4.264
I 3.573 5.621 0.990
I 8.778 4.948 9.343
I 8.385 7.194 6.069
I 8.139 2.999 5.486
I 7.468 5.906 2.576
O 3.817 5.470 8.969
O 2.151 3.522 4.116
O 3.619 4.172 6.525
O 4.129 9.261 5.493
O 4.897 3.001 8.745
O 3.614 7.288 1.692
O 6.327 8.482 9.634
O 5.164 6.797 6.185
O 4.370 4.991 3.490
O 4.000 2.337 2.626
O 7.048 5.215 9.818
O 5.880 7.822 3.848
O 6.471 2.747 6.485
O 5.304 5.355 0.515
O 8.351 8.233 7.706
O 7.981 5.578 6.843
O 7.187 3.773 4.148
O 6.024 2.087 0.699
O 8.738 3.281 8.641
O 7.454 7.569 1.588
O 8.222 1.308 4.840
O 8.733 6.397 3.808
O 10.200 7.048 6.217
O 8.534 5.099 1.364
```

The 10 most intense peaks (15° ≤ 2θ ≤ 90°), in order of rising 2θ:
- d = 4.804 Å, I = 26
- d = 3.924 Å, I = 23
- d = 3.702 Å, I = 53
- d = 3.627 Å, I = 26
- d = 3.577 Å, I = 37
- d = 3.550 Å, I = 100
- d = 3.464 Å, I = 31
- d = 3.415 Å, I = 27
- d = 3.387 Å, I = 33
- d = 3.195 Å, I = 29

Cs2SbAuI6: computed powder diffractogram (Cu Kα), based on a crystal structure in the Materials Project, relaxed with PBE.
Neutral-atom scattering factors, no anomalous dispersion.

```
10
Lattice="0.000 6.030 6.030 6.030 0.000 6.030 6.030 6.030 0.000" Properties=species:S:1:pos:R:3 pbc="T T T"
Cs 3.015 3.015 3.015
Cs 9.046 9.046 9.046
Sb 0.000 0.000 0.000
Au 6.030 6.030 6.030
I 6.030 6.030 3.050
I 6.030 3.050 6.030
I 9.011 6.030 6.030
I 3.050 6.030 6.030
I 6.030 9.011 6.030
I 6.030 6.030 9.011
```

The 10 most intense peaks (15° ≤ 2θ ≤ 90°), in order of rising 2θ:
- d = 4.264 Å, I = 29
- d = 3.482 Å, I = 53
- d = 3.015 Å, I = 100
- d = 2.697 Å, I = 16
- d = 2.462 Å, I = 14
- d = 2.132 Å, I = 75
- d = 1.818 Å, I = 24
- d = 1.741 Å, I = 26
- d = 1.348 Å, I = 34
- d = 1.231 Å, I = 25

Cs2ScAuI6: computed powder diffractogram (Cu Kα), based on a crystal structure in the Materials Project, relaxed with PBE.
Neutral-atom scattering factors, no anomalous dispersion.

```
10
Lattice="0.000 5.959 5.959 5.959 0.000 5.959 5.959 5.959 0.000" Properties=species:S:1:pos:R:3 pbc="T T T"
Cs 2.980 2.980 2.980
Cs 8.939 8.939 8.939
Sc 0.000 0.000 0.000
Au 5.959 5.959 5.959
I 5.959 5.959 2.920
I 5.959 2.920 5.959
I 8.998 5.959 5.959
I 2.920 5.959 5.959
I 5.959 8.998 5.959
I 5.959 5.959 8.998
```

The 10 most intense peaks (15° ≤ 2θ ≤ 90°), in order of rising 2θ:
- d = 4.214 Å, I = 19
- d = 3.440 Å, I = 74
- d = 2.980 Å, I = 100
- d = 2.107 Å, I = 74
- d = 1.797 Å, I = 33
- d = 1.720 Å, I = 26
- d = 1.490 Å, I = 12
- d = 1.367 Å, I = 13
- d = 1.332 Å, I = 33
- d = 1.216 Å, I = 25

Cs2TlAuI6: computed powder diffractogram (Cu Kα), based on a crystal structure in the Materials Project, relaxed with PBE.
Neutral-atom scattering factors, no anomalous dispersion.

```
10
Lattice="0.000 6.070 6.070 6.070 0.000 6.070 6.070 6.070 0.000" Properties=species:S:1:pos:R:3 pbc="T T T"
Cs 3.035 3.035 3.035
Cs 9.105 9.105 9.105
Tl 0.000 0.000 0.000
Au 6.070 6.070 6.070
I 6.070 6.070 3.163
I 6.070 3.163 6.070
I 8.977 6.070 6.070
I 3.163 6.070 6.070
I 6.070 8.977 6.070
I 6.070 6.070 8.977
```

The 10 most intense peaks (15° ≤ 2θ ≤ 90°), in order of rising 2θ:
- d = 4.292 Å, I = 40
- d = 3.505 Å, I = 37
- d = 3.035 Å, I = 100
- d = 2.715 Å, I = 22
- d = 2.478 Å, I = 19
- d = 2.146 Å, I = 74
- d = 1.830 Å, I = 16
- d = 1.752 Å, I = 26
- d = 1.357 Å, I = 33
- d = 1.239 Å, I = 24

Cs7LiAu5O2: computed powder diffractogram (Cu Kα), based on a crystal structure in the Materials Project, relaxed with PBE.
Neutral-atom scattering factors, no anomalous dispersion.

```
15
Lattice="9.277 -4.963 0.000 9.277 4.963 0.000 -1.591 0.000 6.033" Properties=species:S:1:pos:R:3 pbc="T T T"
Cs 0.000 0.000 0.000
Cs 4.827 2.069 5.329
Cs 8.248 2.282 3.057
Cs 12.074 2.413 1.476
Cs 4.827 -2.069 5.329
Cs 8.248 -2.282 3.057
Cs 12.074 -2.413 1.476
Li 9.998 0.000 5.105
Au 1.579 0.000 3.939
Au 5.354 0.000 2.233
Au 9.398 0.000 0.156
Au 12.284 0.000 4.200
Au 14.829 0.000 2.841
O 9.390 2.039 0.129
O 9.390 -2.039 0.129
```

The 10 most intense peaks (15° ≤ 2θ ≤ 90°), in order of rising 2θ:
- d = 3.374 Å, I = 11
- d = 3.335 Å, I = 100
- d = 3.179 Å, I = 78
- d = 3.109 Å, I = 41
- d = 2.990 Å, I = 29
- d = 2.481 Å, I = 30
- d = 1.939 Å, I = 17
- d = 1.910 Å, I = 13
- d = 1.864 Å, I = 15
- d = 1.737 Å, I = 13

Cs7LiAu5O2: computed powder diffractogram (Cu Kα), based on a crystal structure in the Materials Project, relaxed with PBE.
Neutral-atom scattering factors, no anomalous dispersion.

```
15
Lattice="6.396 0.000 0.000 0.136 9.724 0.000 2.365 4.784 9.098" Properties=species:S:1:pos:R:3 pbc="T T T"
Cs 0.000 0.000 0.000
Cs 2.876 10.216 8.963
Cs 2.733 7.536 6.012
Cs 3.237 10.227 2.976
Cs 3.801 4.812 2.528
Cs 5.478 4.655 6.443
Cs 6.101 10.264 5.975
Li 1.341 4.649 4.404
Au 2.744 12.358 5.859
Au 3.564 7.565 0.234
Au 5.984 7.479 8.607
Au 6.591 6.956 3.467
Au 6.658 2.797 2.879
O 2.531 4.694 5.791
O 2.877 10.345 5.952
```

The 10 most intense peaks (15° ≤ 2θ ≤ 90°), in order of rising 2θ:
- d = 3.418 Å, I = 9
- d = 3.378 Å, I = 44
- d = 3.324 Å, I = 58
- d = 3.180 Å, I = 100
- d = 3.169 Å, I = 43
- d = 3.033 Å, I = 44
- d = 2.431 Å, I = 22
- d = 2.312 Å, I = 12
- d = 2.095 Å, I = 13
- d = 1.890 Å, I = 15